SiH17C11N: calculated X-ray diffraction stick pattern (a wavelength of 1.5418 Å), based on the GGA-PBE geometry in the Materials Project.
Intensities are scaled so that the largest is 100.

Cell and atoms:
```
60
Lattice="7.667 0.000 0.000 -2.953 8.020 0.000 -0.489 -3.056 9.928" Properties=species:S:1:pos:R:3 pbc="T T T"
Si 1.042 0.405 0.620
Si 3.184 4.559 9.307
H -0.487 -1.191 7.296
H -0.912 2.942 1.002
H -1.179 1.179 8.129
H 0.550 -0.616 5.974
H -0.878 2.290 9.477
H -1.026 6.328 1.680
H -0.096 2.055 6.319
H 0.311 2.768 3.867
H 1.039 2.880 0.183
H 1.099 -0.506 7.659
H -0.847 6.051 4.946
H 0.335 4.509 3.494
H 2.253 -0.257 2.688
H 1.879 2.485 1.708
H 0.293 7.455 1.271
H 2.685 2.213 0.159
H 1.583 3.806 4.539
H 2.643 1.158 5.389
H 1.541 2.751 9.769
H 3.933 -2.492 8.657
H 2.347 2.478 8.220
H 1.973 5.221 7.239
H 3.891 0.455 6.434
H 5.073 -1.087 4.982
H 3.127 5.469 2.269
H 3.187 2.084 9.745
H 3.915 2.196 6.061
H 4.322 2.908 3.609
H 5.252 -1.364 8.248
H 5.104 2.674 0.450
H 3.676 5.580 3.954
H 5.405 3.785 1.798
H 5.138 2.022 8.926
H 4.713 6.155 2.632
C -1.495 2.128 8.580
C -1.969 4.512 7.788
C -1.342 3.253 7.593
C 0.548 -1.135 6.942
C -1.780 5.521 6.810
C -0.554 3.039 6.456
C -0.979 5.259 5.689
C -0.351 4.028 5.489
C -0.737 7.386 1.655
C 0.512 3.766 4.283
C 1.711 2.161 0.670
C 2.515 2.802 9.258
C 3.714 1.198 5.645
C 4.963 -2.423 8.273
C 4.577 0.936 4.439
C 5.205 -0.295 4.239
C 4.780 1.924 3.472
C 6.006 -0.558 3.118
C 3.678 6.099 2.986
C 5.568 1.711 2.335
C 6.195 0.452 2.140
C 5.721 2.835 1.347
N -2.770 4.751 8.941
N 6.996 0.212 0.986
```

Main lines, by intensity (10 to 80 degrees two-theta):
- 12.3 deg, I = 100
- 15.3 deg, I = 59
- 11.5 deg, I = 53
- 12.4 deg, I = 50
- 16.4 deg, I = 40
- 23.3 deg, I = 31
- 27.9 deg, I = 28
- 25.0 deg, I = 24
- 19.9 deg, I = 23
- 24.0 deg, I = 16